1.
Starting from a GGA-PBE-relaxed structure, the powder diffractogram of AgBO3 was simulated for Cu Kα X-rays.
Neutral-atom scattering factors, no anomalous dispersion.

Largest 10 diffraction maxima, in order of rising 2θ, 2θ from 10° to 90°:
| two_theta | Rel. int. |
| --- | --- |
| 19.6 | 99 |
| 20.7 | 100 |
| 33.7 | 17 |
| 35.6 | 39 |
| 38.6 | 56 |
| 42.1 | 15 |
| 47.8 | 23 |
| 49.3 | 32 |
| 52.6 | 36 |
| 65.5 | 16 |

Cell and atoms:
```
data_AgBO3
_cell_length_a 2.7189
_cell_length_b 5.3241
_cell_length_c 8.5930
_cell_angle_alpha 90.00
_cell_angle_beta 90.00
_cell_angle_gamma 90.00
_space_group_name_H-M_alt 'A m m 2'
_space_group_IT_number 38
loop_
_space_group_symop_operation_xyz
'x,y,z'
'-x,-y,z'
'-x,y,z'
'x,-y,z'
'x,y+1/2,z+1/2'
'-x,-y+1/2,z+1/2'
'-x,y+1/2,z+1/2'
'x,-y+1/2,z+1/2'
loop_
_atom_site_label
_atom_site_type_symbol
_atom_site_fract_x
_atom_site_fract_y
_atom_site_fract_z
Ag1 Ag 0.0000 0.0000 0.0000
B1 B 0.5000 0.0000 0.6030
O1 O 0.0000 0.0000 0.6839
O2 O 0.5000 0.2201 0.4913
```

2.
Starting from a GGA-PBE-relaxed structure, the powder diffractogram of AgBO3 was simulated for Cu Kα X-rays.
Neutral-atom scattering factors, no anomalous dispersion.

Largest 10 diffraction maxima, in order of rising 2θ, 2θ from 10° to 90°:
| two_theta | Rel. int. |
| --- | --- |
| 23.8 | 96 |
| 30.8 | 100 |
| 36.8 | 35 |
| 44.4 | 29 |
| 48.8 | 18 |
| 50.5 | 23 |
| 50.8 | 43 |
| 59.0 | 22 |
| 62.7 | 18 |
| 66.4 | 13 |

Cell and atoms:
```
data_AgBO3
_cell_length_a 4.8787
_cell_length_b 4.8787
_cell_length_c 15.9774
_cell_angle_alpha 90.00
_cell_angle_beta 90.00
_cell_angle_gamma 120.00
_space_group_name_H-M_alt 'R -3 c'
_space_group_IT_number 167
_space_group_name_Hall '-R 3 2"c'
loop_
_atom_site_label
_atom_site_type_symbol
_atom_site_fract_x
_atom_site_fract_y
_atom_site_fract_z
Ag1 Ag 0.0000 0.0000 0.0000
B1 B 0.0000 0.0000 0.2500
O1 O 0.0000 0.2833 0.2500
```

Q: Which formula does entry 2 have?
A: AgBO3